Entry 1:
HfMg6Mn: simulated powder diffractogram (copper Kα), based on a GGA-PBE-relaxed structure.
Neutral-atom scattering factors, no anomalous dispersion.

Most intense lines, 2θ from 10° to 80°, most intense first:
| index | 2θ (°) | I_rel |
| --- | --- | --- |
| 0 1 1 | 16.4 | 100.0 |
| 1 2 2 | 38.1 | 74.3 |
| 1 0 4 | 37.2 | 59.2 |
| 0 0 2 | 15.9 | 43.4 |
| 0 2 2 | 33.2 | 39.9 |
| 1 1 1 | 24.5 | 38.6 |
| 2 0 0 | 36.6 | 33.2 |
| 1 1 3 | 33.6 | 32.1 |
| 1 0 2 | 24.2 | 27.2 |
| 2 2 2 | 50.3 | 24.5 |

Cell: 4.908 6.171 11.119 Å, 90.00 90.00 90.00°
Space group Amm2 (No. 38)
One atom of each set of equivalent atoms:
1 Hf 0.000 0.000 0.000 (multiplicity 2)
2 Mg 0.000 0.000 0.479 (multiplicity 2)
3 Mg 0.000 0.243 0.236 (multiplicity 4)
4 Mg 0.500 0.000 0.642 (multiplicity 2)
5 Mg 0.500 0.244 0.893 (multiplicity 4)
6 Mn 0.500 0.000 0.124 (multiplicity 2)

***

Entry 2:
Bi4O5F2: simulated powder diffractogram (copper Kα), based on a GGA-PBE-relaxed structure.
Neutral-atom scattering factors, no anomalous dispersion.

Most intense lines, 2θ from 10° to 80°, most intense first:
| index | 2θ (°) | I_rel |
| --- | --- | --- |
| 2 2 0 | 28.6 | 100.0 |
| 2 0 2 | 27.6 | 83.5 |
| 0 2 2 | 28.7 | 75.9 |
| 2 4 2 | 51.4 | 24.7 |
| 4 2 2 | 49.2 | 24.7 |
| 1 0 2 | 21.8 | 21.3 |
| 4 0 0 | 39.1 | 21.0 |
| 0 4 0 | 42.5 | 18.3 |
| 2 3 3 | 48.2 | 17.1 |
| 3 1 1 | 32.5 | 15.3 |

Cell: 9.218 8.503 9.093 Å, 90.00 90.00 90.00°
Space group Pnma (No. 62)
One atom of each set of equivalent atoms:
1 Bi 0.017 0.250 0.065 (multiplicity 4)
2 Bi 0.045 0.750 0.501 (multiplicity 4)
3 Bi 0.240 0.033 0.710 (multiplicity 8)
4 O 0.025 0.564 0.664 (multiplicity 8)
5 O 0.166 0.061 0.007 (multiplicity 8)
6 O 0.179 0.250 0.575 (multiplicity 4)
7 F 0.030 0.750 0.179 (multiplicity 4)
8 F 0.219 0.250 0.247 (multiplicity 4)

***

Entry 3:
Sm2Te5: simulated powder diffractogram (copper Kα), based on a GGA-PBE-relaxed structure.
Neutral-atom scattering factors, no anomalous dispersion.

Most intense lines, 2θ from 10° to 80°, most intense first:
| index | 2θ (°) | I_rel |
| --- | --- | --- |
| 1 5 1 | 30.4 | 100.0 |
| 1 9 1 | 34.0 | 65.6 |
| 0 14 0 | 28.2 | 40.0 |
| 0 0 2 | 40.9 | 33.4 |
| 2 14 0 | 50.4 | 31.9 |
| 2 0 0 | 40.9 | 30.4 |
| 2 0 2 | 59.2 | 24.4 |
| 3 5 1 | 68.0 | 21.2 |
| 1 1 1 | 28.7 | 20.3 |
| 0 14 1 | 34.9 | 19.5 |

Cell: 4.415 44.260 4.417 Å, 90.00 90.00 90.00°
Space group Cmcm (No. 63)
One atom of each set of equivalent atoms:
1 Sm 0.000 0.098 0.250 (multiplicity 4)
2 Sm 0.000 0.307 0.250 (multiplicity 4)
3 Te 0.000 0.042 0.750 (multiplicity 4)
4 Te 0.000 0.173 0.250 (multiplicity 4)
5 Te 0.000 0.250 0.750 (multiplicity 4)
6 Te 0.000 0.380 0.250 (multiplicity 4)
7 Te 0.000 0.458 0.750 (multiplicity 4)

***

Entry 4:
SrGe3Pt: simulated powder diffractogram (copper Kα), based on a GGA-PBE-relaxed structure.
Neutral-atom scattering factors, no anomalous dispersion.

Most intense lines, 2θ from 10° to 80°, most intense first:
| index | 2θ (°) | I_rel |
| --- | --- | --- |
| 1 0 3 | 32.6 | 100.0 |
| 2 0 0 | 39.8 | 92.8 |
| 1 1 2 | 32.9 | 76.5 |
| 1 0 1 | 21.4 | 69.9 |
| 1 1 4 | 45.0 | 55.1 |
| 2 1 3 | 52.4 | 52.7 |
| 1 1 0 | 27.9 | 38.9 |
| 1 0 5 | 48.3 | 31.7 |
| 2 2 0 | 57.6 | 31.3 |
| 2 1 5 | 64.3 | 26.9 |

Cell: 4.527 4.527 10.360 Å, 90.00 90.00 90.00°
Space group I4mm (No. 107)
One atom of each set of equivalent atoms:
1 Sr 0.000 0.000 0.000 (multiplicity 2)
2 Ge 0.000 0.000 0.403 (multiplicity 2)
3 Ge 0.000 0.500 0.255 (multiplicity 4)
4 Pt 0.000 0.000 0.645 (multiplicity 2)

***

Entry 5:
Hf2SbP: simulated powder diffractogram (copper Kα), based on a GGA-PBE-relaxed structure.
Neutral-atom scattering factors, no anomalous dispersion.

Most intense lines, 2θ from 10° to 80°, most intense first:
| index | 2θ (°) | I_rel |
| --- | --- | --- |
| 1 0 3 | 34.0 | 100.0 |
| 1 1 0 | 47.8 | 31.8 |
| 1 0 0 | 27.0 | 28.6 |
| 2 0 3 | 59.9 | 19.6 |
| 1 1 6 | 64.7 | 13.1 |
| 1 0 6 | 49.8 | 11.2 |
| 0 0 6 | 41.0 | 8.4 |
| 1 1 8 | 76.4 | 8.1 |
| 1 0 7 | 56.2 | 7.0 |
| 1 0 1 | 27.9 | 6.4 |

Cell: 3.8074 3.8074 13.2133 Å, 90.00 90.00 120.00°
Space group P6_3/mmc (No. 194)
One atom of each set of equivalent atoms:
1 Hf 0.3333 0.6667 0.1021 (multiplicity 4)
2 Sb 0.3333 0.6667 0.7500 (multiplicity 2)
3 P 0.0000 0.0000 0.0000 (multiplicity 2)

***

Entry 6:
Gd2MgPtO6: simulated powder diffractogram (copper Kα), based on a GGA-PBE-relaxed structure.
Neutral-atom scattering factors, no anomalous dispersion.

Most intense lines, 2θ from 10° to 80°, most intense first:
| index | 2θ (°) | I_rel |
| --- | --- | --- |
| 1 1 1 | 32.2 | 100.0 |
| 1 1 -3 | 32.4 | 98.7 |
| 2 0 -2 | 33.0 | 47.8 |
| 0 1 1 | 19.2 | 46.5 |
| 0 2 0 | 31.2 | 39.0 |
| 2 2 -2 | 46.0 | 35.2 |
| 1 0 0 | 19.9 | 31.0 |
| 1 1 -2 | 25.3 | 27.1 |
| 0 0 4 | 46.6 | 26.3 |
| 3 1 -5 | 58.6 | 24.8 |

Cell: 5.430 5.740 9.474 Å, 90.00 124.63 90.00°
Space group P2_1/c (No. 14)
One atom of each set of equivalent atoms:
1 Gd 0.231 0.068 0.252 (multiplicity 4)
2 Mg 0.500 0.000 0.000 (multiplicity 2)
3 Pt 0.000 0.000 0.500 (multiplicity 2)
4 O 0.128 0.201 0.939 (multiplicity 4)
5 O 0.251 0.696 0.944 (multiplicity 4)
6 O 0.362 0.044 0.747 (multiplicity 4)

***

Entry 7:
Sr2Li2Nb3O10: simulated powder diffractogram (copper Kα), based on a GGA-PBE-relaxed structure.
Neutral-atom scattering factors, no anomalous dispersion.

Most intense lines, 2θ from 10° to 80°, most intense first:
| index | 2θ (°) | I_rel |
| --- | --- | --- |
| 1 5 1 | 27.7 | 100.0 |
| 1 7 1 | 32.3 | 96.1 |
| 2 0 0 | 31.3 | 77.6 |
| 2 0 2 | 44.9 | 62.8 |
| 3 7 1 | 56.4 | 40.4 |
| 2 12 0 | 52.2 | 30.9 |
| 3 5 1 | 53.6 | 30.9 |
| 2 12 2 | 62.2 | 28.6 |
| 0 12 0 | 40.7 | 27.2 |
| 0 4 0 | 13.3 | 21.8 |

Cell: 5.707 26.613 5.711 Å, 90.00 90.00 90.00°
Space group Fmm2 (No. 42)
One atom of each set of equivalent atoms:
1 Sr 0.000 0.082 0.000 (multiplicity 8)
2 Li 0.250 0.250 0.251 (multiplicity 8)
3 Nb 0.000 0.000 0.487 (multiplicity 4)
4 Nb 0.000 0.158 0.501 (multiplicity 8)
5 O 0.000 0.076 0.495 (multiplicity 8)
6 O 0.000 0.229 0.500 (multiplicity 8)
7 O 0.246 0.000 0.233 (multiplicity 8)
8 O 0.250 0.149 0.250 (multiplicity 16)

***

Entry 8:
NdTe2: simulated powder diffractogram (copper Kα), based on a GGA-PBE-relaxed structure.
Neutral-atom scattering factors, no anomalous dispersion.

Most intense lines, 2θ from 10° to 80°, most intense first:
| index | 2θ (°) | I_rel |
| --- | --- | --- |
| 1 1 1 | 29.7 | 100.0 |
| 1 1 2 | 34.2 | 95.2 |
| 2 0 0 | 40.0 | 65.1 |
| 1 0 3 | 35.4 | 52.3 |
| 0 0 3 | 29.2 | 38.9 |
| 2 0 3 | 50.3 | 34.0 |
| 2 1 3 | 54.5 | 30.3 |
| 2 2 0 | 57.9 | 28.0 |
| 3 1 2 | 69.0 | 24.6 |
| 1 1 0 | 28.0 | 23.0 |

Cell: 4.508 4.508 9.189 Å, 90.00 90.00 90.00°
Space group P4/nmm (No. 129, origin choice 2)
One atom of each set of equivalent atoms:
1 Nd 0.250 0.250 0.227 (multiplicity 2)
2 Te 0.250 0.250 0.870 (multiplicity 2)
3 Te 0.250 0.750 0.500 (multiplicity 2)

***

Entry 9:
BaZnBi4O8: simulated powder diffractogram (copper Kα), based on a GGA-PBE-relaxed structure.
Neutral-atom scattering factors, no anomalous dispersion.

Most intense lines, 2θ from 10° to 80°, most intense first:
| index | 2θ (°) | I_rel |
| --- | --- | --- |
| 1 1 0 | 28.5 | 100.0 |
| 1 0 2 | 29.1 | 54.8 |
| 2 1 2 | 50.8 | 26.9 |
| 3 0 0 | 50.4 | 25.4 |
| 2 0 2 | 41.1 | 25.1 |
| 2 -1 2 | 37.5 | 23.0 |
| 0 0 2 | 23.9 | 17.7 |
| 2 -1 4 | 57.6 | 17.2 |
| 1 1 3 | 46.7 | 14.7 |
| 1 0 0 | 16.3 | 13.9 |

Cell: 6.2690 6.2690 7.4495 Å, 90.00 90.00 120.00°
Space group P-31m (No. 162)
One atom of each set of equivalent atoms:
1 Ba 0.0000 0.0000 0.0000 (multiplicity 1)
2 Zn 0.0000 0.0000 0.5000 (multiplicity 1)
3 Bi 0.3333 0.6667 0.2826 (multiplicity 4)
4 O 0.0000 0.2776 0.3042 (multiplicity 6)
5 O 0.3333 0.6667 0.0000 (multiplicity 2)

***

Entry 10:
ErH3O3: simulated powder diffractogram (copper Kα), based on a GGA-PBE-relaxed structure.
Neutral-atom scattering factors, no anomalous dispersion.

Most intense lines, 2θ from 10° to 80°, most intense first:
| index | 2θ (°) | I_rel |
| --- | --- | --- |
| 1 0 0 | 16.2 | 100.0 |
| 1 0 1 | 30.4 | 95.2 |
| 1 1 0 | 28.2 | 74.3 |
| 2 0 1 | 41.9 | 65.9 |
| 2 1 1 | 51.3 | 62.8 |
| 3 0 0 | 49.9 | 24.5 |
| 1 3 1 | 67.2 | 20.9 |
| 1 1 2 | 60.7 | 18.8 |
| 2 0 0 | 32.7 | 17.0 |
| 3 0 2 | 75.4 | 14.1 |

Cell: 6.3269 6.3269 3.4850 Å, 90.00 90.00 120.00°
Space group P6_3/m (No. 176)
One atom of each set of equivalent atoms:
1 Er 0.3333 0.6667 0.2500 (multiplicity 2)
2 H 0.1379 0.8565 0.7500 (multiplicity 6)
3 O 0.0864 0.3988 0.7500 (multiplicity 6)

***

Entry 11:
Ga4BiAs3: simulated powder diffractogram (copper Kα), based on a GGA-PBE-relaxed structure.
Neutral-atom scattering factors, no anomalous dispersion.

Most intense lines, 2θ from 10° to 80°, most intense first:
| index | 2θ (°) | I_rel |
| --- | --- | --- |
| 1 0 2 | 26.0 | 100.0 |
| 2 0 0 | 43.2 | 61.3 |
| 1 4 2 | 51.0 | 31.3 |
| 3 2 4 | 79.2 | 15.9 |
| 3 0 2 | 69.1 | 15.4 |
| 0 2 6 | 51.1 | 15.3 |
| 0 4 0 | 43.0 | 12.3 |
| 0 1 1 | 12.9 | 10.9 |
| 0 1 3 | 24.9 | 9.1 |
| 2 4 0 | 62.6 | 8.0 |

Cell: 4.191 8.408 11.845 Å, 90.00 90.00 90.00°
Space group Amm2 (No. 38)
One atom of each set of equivalent atoms:
1 Ga 0.000 0.000 0.000 (multiplicity 2)
2 Ga 0.000 0.000 0.485 (multiplicity 2)
3 Ga 0.500 0.236 0.255 (multiplicity 4)
4 Bi 0.500 0.000 0.625 (multiplicity 2)
5 As 0.000 0.250 0.374 (multiplicity 4)
6 As 0.500 0.000 0.124 (multiplicity 2)